No. 1
Mn5SnP6O24: simulated powder X-ray diffraction pattern (Cu Kα (weighted mean of Kα1 and Kα2)), based on DFT lattice parameters and positions (GGA+U).

Structure:
```
data_Mn5SnP6O24
_cell_length_a 8.6650
_cell_length_b 8.6650
_cell_length_c 21.3433
_cell_angle_alpha 90.00
_cell_angle_beta 90.00
_cell_angle_gamma 120.00
_space_group_name_H-M_alt 'R 3'
_space_group_IT_number 146
_space_group_name_Hall 'R 3'
loop_
_atom_site_label
_atom_site_type_symbol
_atom_site_fract_x
_atom_site_fract_y
_atom_site_fract_z
Mn1 Mn 0.0000 0.0000 0.0000
Mn2 Mn 0.0000 0.0000 0.1422
Mn3 Mn 0.0000 0.0000 0.5007
Mn4 Mn 0.0000 0.0000 0.6449
Mn5 Mn 0.0000 0.0000 0.7899
Sn1 Sn 0.0000 0.0000 0.2896
P1 P 0.0003 0.2977 0.3967
P2 P 0.0457 0.6702 0.5614
O1 O 0.0050 0.2071 0.3350
O2 O 0.0164 0.1808 0.0665
O3 O 0.0217 0.8365 0.5671
O4 O 0.1376 0.4643 0.1223
O5 O 0.1382 0.6700 0.6222
O6 O 0.1388 0.6679 0.5010
O7 O 0.1669 0.6870 0.8889
O8 O 0.1697 0.4867 0.3915
```

Main lines, in order of falling intensity (2θ from 10° to 90°):
| 2θ/deg | I_rel |
| --- | --- |
| 20.5 | 100 |
| 24.0 | 80 |
| 32.6 | 68 |
| 35.9 | 41 |
| 49.3 | 27 |
| 46.7 | 25 |
| 56.2 | 22 |
| 62.4 | 19 |
| 56.1 | 16 |
| 29.1 | 15 |
| 31.8 | 13 |
| 25.2 | 10 |


No. 2
NaNdEuWO6: simulated powder X-ray diffraction pattern (Cu Kα (weighted mean of Kα1 and Kα2)), based on DFT lattice parameters and positions (GGA+U).

Structure:
```
data_NaNdEuWO6
_cell_length_a 8.512
_cell_length_b 8.512
_cell_length_c 8.512
_cell_angle_alpha 90.00
_cell_angle_beta 90.00
_cell_angle_gamma 90.00
_space_group_name_H-M_alt 'F -4 3 m'
_space_group_IT_number 216
_space_group_name_Hall 'F -4 2 3'
loop_
_atom_site_label
_atom_site_type_symbol
_atom_site_fract_x
_atom_site_fract_y
_atom_site_fract_z
Na1 Na 0.000 0.000 0.000
Nd1 Nd 0.250 0.250 0.750
Eu1 Eu 0.000 0.000 0.500
W1 W 0.250 0.250 0.250
O1 O 0.021 0.250 0.250
```

Main lines, in order of falling intensity (2θ from 10° to 90°):
| 2θ/deg | I_rel |
| --- | --- |
| 29.7 | 100 |
| 52.7 | 41 |
| 42.5 | 30 |
| 85.3 | 22 |
| 20.9 | 19 |
| 61.6 | 19 |
| 18.0 | 19 |
| 69.9 | 18 |
| 35.0 | 10 |
| 47.8 | 8 |
| 77.7 | 6 |
| 46.5 | 4 |


No. 3
BaNaPrFeO6: simulated powder X-ray diffraction pattern (Cu Kα (weighted mean of Kα1 and Kα2)), based on DFT lattice parameters and positions (GGA+U).

Structure:
```
data_BaNaPrFeO6
_cell_length_a 8.403
_cell_length_b 8.403
_cell_length_c 8.403
_cell_angle_alpha 90.00
_cell_angle_beta 90.00
_cell_angle_gamma 90.00
_space_group_name_H-M_alt 'F -4 3 m'
_space_group_IT_number 216
_space_group_name_Hall 'F -4 2 3'
loop_
_atom_site_label
_atom_site_type_symbol
_atom_site_fract_x
_atom_site_fract_y
_atom_site_fract_z
Ba1 Ba 0.000 0.000 0.000
Na1 Na 0.000 0.000 0.500
Pr1 Pr 0.250 0.250 0.250
Fe1 Fe 0.250 0.250 0.750
O1 O 0.027 0.250 0.750
```

Main lines, in order of falling intensity (2θ from 10° to 90°):
| 2θ/deg | I_rel |
| --- | --- |
| 30.1 | 100 |
| 53.4 | 38 |
| 43.1 | 34 |
| 18.3 | 32 |
| 35.4 | 23 |
| 86.7 | 21 |
| 62.5 | 20 |
| 70.9 | 18 |
| 47.1 | 12 |
| 21.1 | 8 |
| 56.9 | 7 |
| 65.7 | 7 |


No. 4
Li3Mn2O5: simulated powder X-ray diffraction pattern (Cu Kα (weighted mean of Kα1 and Kα2)), based on DFT lattice parameters and positions (GGA+U).

Structure:
```
data_Li3Mn2O5
_cell_length_a 5.057
_cell_length_b 5.925
_cell_length_c 6.537
_cell_angle_alpha 103.36
_cell_angle_beta 97.33
_cell_angle_gamma 104.08
_space_group_name_H-M_alt 'P -1'
_space_group_IT_number 2
loop_
_space_group_symop_operation_xyz
'x,y,z'
'-x,-y,-z'
loop_
_atom_site_label
_atom_site_type_symbol
_atom_site_fract_x
_atom_site_fract_y
_atom_site_fract_z
Li1 Li 0.000 0.000 0.000
Li2 Li 0.000 0.500 0.000
Li3 Li 0.198 0.408 0.399
Li4 Li 0.391 0.796 0.807
Mn1 Mn 0.195 0.888 0.392
Mn2 Mn 0.406 0.313 0.804
O1 O 0.116 0.985 0.697
O2 O 0.125 0.445 0.703
O3 O 0.314 0.851 0.120
O4 O 0.327 0.371 0.091
O5 O 0.486 0.746 0.474
```

Main lines, in order of falling intensity (2θ from 10° to 90°):
| 2θ/deg | I_rel |
| --- | --- |
| 18.3 | 100 |
| 42.0 | 34 |
| 43.9 | 30 |
| 44.3 | 29 |
| 36.3 | 23 |
| 62.8 | 16 |
| 34.9 | 16 |
| 62.6 | 8 |
| 62.1 | 8 |
| 64.6 | 8 |
| 63.7 | 8 |
| 18.4 | 8 |


No. 5
FeO2: simulated powder X-ray diffraction pattern (Cu Kα (weighted mean of Kα1 and Kα2)), based on DFT lattice parameters and positions (GGA+U).

Structure:
```
data_FeO2
_cell_length_a 10.090
_cell_length_b 5.970
_cell_length_c 19.465
_cell_angle_alpha 90.00
_cell_angle_beta 100.37
_cell_angle_gamma 90.00
_space_group_name_H-M_alt 'C 1 m 1'
_space_group_IT_number 8
loop_
_space_group_symop_operation_xyz
'x,y,z'
'x,-y,z'
'x+1/2,y+1/2,z'
'x+1/2,-y+1/2,z'
loop_
_atom_site_label
_atom_site_type_symbol
_atom_site_fract_x
_atom_site_fract_y
_atom_site_fract_z
Fe1 Fe 0.000 0.000 0.000
Fe2 Fe 0.006 0.500 0.495
Fe3 Fe 0.106 0.500 0.781
Fe4 Fe 0.203 0.000 0.558
Fe5 Fe 0.228 0.258 0.904
Fe6 Fe 0.230 0.251 0.403
Fe7 Fe 0.251 0.000 0.750
Fe8 Fe 0.253 0.500 0.245
Fe9 Fe 0.356 0.000 0.033
Fe10 Fe 0.454 0.000 0.314
Fe11 Fe 0.475 0.255 0.649
Fe12 Fe 0.482 0.251 0.157
O1 O 0.026 0.500 0.595
O2 O 0.029 0.500 0.097
O3 O 0.034 0.000 0.098
O4 O 0.046 0.000 0.596
O5 O 0.055 0.257 0.347
O6 O 0.065 0.277 0.842
O7 O 0.146 0.261 0.719
O8 O 0.153 0.254 0.211
O9 O 0.169 0.500 0.460
O10 O 0.172 0.000 0.967
O11 O 0.174 0.000 0.461
O12 O 0.179 0.500 0.955
O13 O 0.277 0.000 0.850
O14 O 0.281 0.500 0.344
O15 O 0.288 0.500 0.845
O16 O 0.290 0.000 0.348
O17 O 0.296 0.235 0.596
O18 O 0.318 0.223 0.093
O19 O 0.399 0.236 0.970
O20 O 0.404 0.242 0.462
O21 O 0.412 0.500 0.207
O22 O 0.416 0.500 0.695
O23 O 0.421 0.000 0.716
O24 O 0.430 0.000 0.217
```

Main lines, in order of falling intensity (2θ from 10° to 90°):
| 2θ/deg | I_rel |
| --- | --- |
| 35.5 | 100 |
| 30.5 | 81 |
| 18.6 | 65 |
| 36.1 | 44 |
| 63.3 | 41 |
| 43.2 | 29 |
| 35.8 | 28 |
| 63.5 | 27 |
| 21.6 | 23 |
| 57.4 | 20 |
| 54.1 | 17 |
| 62.2 | 16 |


No. 6
RbMgCr3O8: simulated powder X-ray diffraction pattern (Cu Kα (weighted mean of Kα1 and Kα2)), based on DFT lattice parameters and positions (GGA+U).

Structure:
```
data_RbMgCr3O8
_cell_length_a 8.991
_cell_length_b 5.736
_cell_length_c 7.100
_cell_angle_alpha 90.00
_cell_angle_beta 93.36
_cell_angle_gamma 90.00
_space_group_name_H-M_alt 'C 1 m 1'
_space_group_IT_number 8
loop_
_space_group_symop_operation_xyz
'x,y,z'
'x,-y,z'
'x+1/2,y+1/2,z'
'x+1/2,-y+1/2,z'
loop_
_atom_site_label
_atom_site_type_symbol
_atom_site_fract_x
_atom_site_fract_y
_atom_site_fract_z
Rb1 Rb 0.000 0.000 0.000
Mg1 Mg 0.157 0.500 0.726
Cr1 Cr 0.123 0.500 0.269
Cr2 Cr 0.350 0.000 0.687
Cr3 Cr 0.491 0.500 0.492
O1 O 0.014 0.261 0.305
O2 O 0.182 0.500 0.043
O3 O 0.216 0.000 0.511
O4 O 0.262 0.500 0.472
O5 O 0.290 0.000 0.900
O6 O 0.489 0.232 0.681
```

Main lines, in order of falling intensity (2θ from 10° to 90°):
| 2θ/deg | I_rel |
| --- | --- |
| 30.8 | 100 |
| 33.8 | 98 |
| 31.2 | 67 |
| 31.8 | 63 |
| 22.6 | 51 |
| 57.2 | 48 |
| 19.8 | 44 |
| 22.8 | 28 |
| 59.5 | 21 |
| 55.9 | 21 |
| 39.0 | 20 |
| 46.1 | 19 |


No. 7
LiCrP3O9: simulated powder X-ray diffraction pattern (Cu Kα (weighted mean of Kα1 and Kα2)), based on DFT lattice parameters and positions (GGA+U).

Structure:
```
data_LiCrP3O9
_cell_length_a 8.380
_cell_length_b 8.870
_cell_length_c 8.953
_cell_angle_alpha 90.00
_cell_angle_beta 90.00
_cell_angle_gamma 90.00
_space_group_name_H-M_alt 'P 21 21 21'
_space_group_IT_number 19
loop_
_space_group_symop_operation_xyz
'x,y,z'
'-x+1/2,-y,z+1/2'
'x+1/2,-y+1/2,-z'
'-x,y+1/2,-z+1/2'
loop_
_atom_site_label
_atom_site_type_symbol
_atom_site_fract_x
_atom_site_fract_y
_atom_site_fract_z
Li1 Li 0.123 0.082 0.108
Cr1 Cr 0.096 0.858 0.382
P1 P 0.048 0.682 0.050
P2 P 0.065 0.059 0.733
P3 P 0.220 0.572 0.565
O1 O 0.025 0.195 0.617
O2 O 0.057 0.084 0.351
O3 O 0.088 0.837 0.102
O4 O 0.111 0.522 0.704
O5 O 0.117 0.634 0.441
O6 O 0.128 0.928 0.647
O7 O 0.145 0.329 0.118
O8 O 0.162 0.122 0.861
O9 O 0.212 0.589 0.014
```

Main lines, in order of falling intensity (2θ from 10° to 90°):
| 2θ/deg | I_rel |
| --- | --- |
| 31.8 | 100 |
| 22.4 | 81 |
| 17.6 | 81 |
| 33.6 | 79 |
| 24.7 | 67 |
| 22.2 | 62 |
| 24.8 | 53 |
| 23.5 | 53 |
| 25.5 | 40 |
| 45.6 | 40 |
| 30.9 | 37 |
| 35.1 | 28 |


No. 8
Li3Mn2O5: simulated powder X-ray diffraction pattern (Cu Kα (weighted mean of Kα1 and Kα2)), based on DFT lattice parameters and positions (GGA+U).

Structure:
```
data_Li3Mn2O5
_cell_length_a 5.238
_cell_length_b 14.330
_cell_length_c 5.206
_cell_angle_alpha 90.00
_cell_angle_beta 112.29
_cell_angle_gamma 90.00
_space_group_name_H-M_alt 'C 1 2/m 1'
_space_group_IT_number 12
loop_
_space_group_symop_operation_xyz
'x,y,z'
'-x,-y,-z'
'-x,y,-z'
'x,-y,z'
'x+1/2,y+1/2,z'
'-x+1/2,-y+1/2,-z'
'-x+1/2,y+1/2,-z'
'x+1/2,-y+1/2,z'
loop_
_atom_site_label
_atom_site_type_symbol
_atom_site_fract_x
_atom_site_fract_y
_atom_site_fract_z
Li1 Li 0.000 0.000 0.000
Li2 Li 0.000 0.097 0.500
Li3 Li 0.000 0.303 0.500
Li4 Li 0.000 0.500 0.500
Mn1 Mn 0.000 0.199 0.000
Mn2 Mn 0.000 0.401 0.000
O1 O 0.220 0.500 0.235
O2 O 0.225 0.303 0.235
O3 O 0.240 0.395 0.787
```

Main lines, in order of falling intensity (2θ from 10° to 90°):
| 2θ/deg | I_rel |
| --- | --- |
| 18.4 | 100 |
| 44.4 | 58 |
| 41.7 | 35 |
| 36.4 | 23 |
| 62.3 | 17 |
| 62.6 | 17 |
| 34.5 | 16 |
| 19.3 | 14 |
| 12.4 | 12 |
| 58.5 | 9 |
| 47.4 | 8 |
| 21.4 | 8 |